(1)
This entry pairs a crystal structure of Li3Mn2CoO6 with its simulated powder X-ray diffraction pattern. Radiation: λ = 1.5418 Å (Cu Kα). Structure: a cell relaxed with PBE+U.
Peak positions follow from Bragg's law for the DFT cell and can differ from measured ones.

Crystal structure
Lattice parameters (Å, degrees): 2.979 6.551 12.132 102.41 93.26 102.53
Fractional positions:
Li1 0.003 0.011 0.256
Li2 0.343 0.679 0.090
Li3 0.352 0.668 0.569
Li4 0.648 0.332 0.431
Li5 0.657 0.321 0.910
Li6 0.997 0.989 0.744
Mn1 0.309 0.663 0.837
Mn2 0.341 0.676 0.334
Mn3 0.659 0.324 0.666
Mn4 0.691 0.337 0.163
Co1 0.000 0.000 0.000
Co2 0.000 0.000 0.500
O1 0.129 0.347 0.793
O2 0.170 0.342 0.056
O3 0.200 0.341 0.552
O4 0.217 0.347 0.272
O5 0.464 0.970 0.877
O6 0.489 0.988 0.374
O7 0.511 0.012 0.626
O8 0.536 0.030 0.123
O9 0.783 0.653 0.728
O10 0.800 0.659 0.448
O11 0.830 0.658 0.944
O12 0.871 0.653 0.207

Top 8 peaks for 2θ = 10–80°, most intense first:
2theta  I_rel
18.17  100
41.32  29
43.87  25
43.67  25
63.63  16
34.53  15
35.66  14
36.07  13


(2)
This entry pairs a crystal structure of ZnCrP2O7 with its simulated powder X-ray diffraction pattern. Radiation: λ = 1.5418 Å (Cu Kα). Structure: a cell relaxed with PBE+U.
Peak positions follow from Bragg's law for the DFT cell and can differ from measured ones.

Crystal structure
Lattice parameters (Å, degrees): 7.106 8.453 9.347 90.00 109.99 90.00
Fractional positions:
Zn1 0.192 0.062 0.314
Zn2 0.192 0.438 0.814
Zn3 0.808 0.562 0.186
Zn4 0.808 0.938 0.686
Cr1 0.260 0.066 0.888
Cr2 0.260 0.434 0.388
Cr3 0.740 0.566 0.612
Cr4 0.740 0.934 0.112
P1 0.038 0.728 0.973
P2 0.038 0.772 0.473
P3 0.431 0.738 0.251
P4 0.431 0.762 0.751
P5 0.569 0.238 0.249
P6 0.569 0.262 0.749
P7 0.962 0.228 0.527
P8 0.962 0.272 0.027
O1 0.003 0.091 0.639
O2 0.003 0.409 0.139
O3 0.047 0.610 0.396
O4 0.047 0.890 0.896
O5 0.117 0.239 0.446
O6 0.117 0.261 0.946
O7 0.251 0.689 0.096
O8 0.251 0.811 0.596
O9 0.383 0.604 0.807
O10 0.383 0.896 0.307
O11 0.384 0.245 0.300
O12 0.384 0.255 0.800
O13 0.452 0.602 0.363
O14 0.452 0.898 0.863
O15 0.548 0.102 0.137
O16 0.548 0.398 0.637
O17 0.616 0.745 0.200
O18 0.616 0.755 0.700
O19 0.617 0.104 0.693
O20 0.617 0.396 0.193
O21 0.749 0.189 0.404
O22 0.749 0.311 0.904
O23 0.883 0.739 0.054
O24 0.883 0.761 0.554
O25 0.953 0.110 0.104
O26 0.953 0.390 0.604
O27 0.997 0.591 0.861
O28 0.997 0.909 0.361

Top 8 peaks for 2θ = 10–80°, most intense first:
2theta  I_rel
29.20  100
27.87  87
29.48  58
42.48  32
34.22  25
34.55  25
39.06  23
57.98  22


(3)
This entry pairs a crystal structure of Ba2YCr3O7 with its simulated powder X-ray diffraction pattern. Radiation: λ = 1.5418 Å (Cu Kα). Structure: a cell relaxed with PBE+U.
Peak positions follow from Bragg's law for the DFT cell and can differ from measured ones.

Crystal structure
Lattice parameters (Å, degrees): 12.390 12.357 5.632 77.17 76.52 26.31
Fractional positions:
Ba1 0.000 0.000 0.500
Ba2 0.181 0.181 0.319
Ba3 0.500 0.500 0.000
Ba4 0.681 0.681 0.819
Y1 0.342 0.342 0.158
Y2 0.842 0.842 0.658
Cr1 0.091 0.091 0.909
Cr2 0.264 0.264 0.736
Cr3 0.413 0.413 0.587
Cr4 0.591 0.591 0.409
Cr5 0.767 0.767 0.233
Cr6 0.915 0.915 0.085
O1 0.003 0.003 0.997
O2 0.032 0.527 0.473
O3 0.033 0.528 0.967
O4 0.149 0.654 0.851
O5 0.150 0.655 0.345
O6 0.180 0.180 0.820
O7 0.341 0.844 0.156
O8 0.506 0.506 0.494
O9 0.527 0.032 0.968
O10 0.528 0.033 0.472
O11 0.654 0.149 0.346
O12 0.655 0.150 0.850
O13 0.680 0.680 0.320
O14 0.844 0.341 0.659

Top 8 peaks for 2θ = 10–80°, most intense first:
2theta  I_rel
32.32  100
31.79  96
31.90  89
56.44  39
39.46  38
57.44  34
57.23  33
44.95  32


(4)
This entry pairs a crystal structure of Rb2CaNd2W4O16 with its simulated powder X-ray diffraction pattern. Radiation: λ = 1.5418 Å (Cu Kα). Structure: a cell relaxed with PBE+U.
Peak positions follow from Bragg's law for the DFT cell and can differ from measured ones.

Crystal structure
Lattice parameters (Å, degrees): 8.077 8.077 7.665 118.04 118.04 88.85
Fractional positions:
Rb1 0.000 0.000 0.000
Rb2 0.728 0.272 0.500
Ca1 0.258 0.742 0.000
Nd1 0.161 0.839 0.500
Nd2 0.707 0.293 0.000
W1 0.249 0.363 0.055
W2 0.250 0.367 0.552
W3 0.633 0.750 0.448
W4 0.637 0.751 0.945
O1 0.195 0.422 0.802
O2 0.235 0.110 0.476
O3 0.254 0.102 0.874
O4 0.316 0.329 0.329
O5 0.322 0.670 0.712
O6 0.330 0.678 0.288
O7 0.543 0.452 0.797
O8 0.548 0.457 0.203
O9 0.578 0.805 0.198
O10 0.643 0.005 0.641
O11 0.649 0.006 0.012
O12 0.671 0.684 0.671
O13 0.890 0.765 0.524
O14 0.898 0.746 0.126
O15 0.994 0.351 0.988
O16 0.995 0.357 0.359

Top 8 peaks for 2θ = 10–80°, most intense first:
2theta  I_rel
28.13  100
25.87  98
15.67  45
30.99  41
31.26  37
31.91  33
31.65  27
39.24  21